Simulated PXRD pattern of Li4TiMn5O12 for Cu Kα, from DFT lattice parameters and positions (PBE+U).
Kinematic intensities with the Lorentz-polarization factor, no thermal factor.

Most intense lines, 2θ from 10° to 90°, in order of falling intensity:
| two_theta | Rel. int. |
| --- | --- |
| 17.3 | 1000 |
| 43.4 | 169 |
| 44.6 | 162 |
| 35.7 | 133 |
| 36.2 | 123 |
| 56.6 | 102 |
| 37.4 | 94 |
| 33.9 | 90 |

Structure:
```
data_Li4TiMn5O12
_cell_length_a 5.1580
_cell_length_b 5.1580
_cell_length_c 10.2872
_cell_angle_alpha 91.59
_cell_angle_beta 91.59
_cell_angle_gamma 118.16
_space_group_name_H-M_alt 'P 1'
_space_group_IT_number 1
_space_group_name_Hall 'P 1'
loop_
_atom_site_label
_atom_site_fract_x
_atom_site_fract_y
_atom_site_fract_z
_atom_site_occupancy
Li1 0.1081 0.6375 0.7475 1
Li2 0.3625 0.8919 0.2525 1
Li3 0.6375 0.1081 0.7475 1
Li4 0.8919 0.3625 0.2525 1
Ti1 0.0000 0.0000 0.5000 1
Mn1 0.1643 0.8357 0.0000 1
Mn2 0.3351 0.6649 0.5000 1
Mn3 0.5000 0.5000 0.0000 1
Mn4 0.6649 0.3351 0.5000 1
Mn5 0.8357 0.1643 0.0000 1
O1 0.0340 0.6924 0.3901 1
O2 0.1652 0.1652 0.9096 1
O3 0.1708 0.5338 0.1077 1
O4 0.3076 0.9660 0.6099 1
O5 0.3194 0.3194 0.4073 1
O6 0.4662 0.8292 0.8923 1
O7 0.5338 0.1708 0.1077 1
O8 0.6806 0.6806 0.5927 1
O9 0.6924 0.0340 0.3901 1
O10 0.8292 0.4662 0.8923 1
O11 0.8348 0.8348 0.0904 1
O12 0.9660 0.3076 0.6099 1
```